Diffraction record for Er5CoSb2. The XRD peak list is simulated, not measured: it uses a cell relaxed with PBE and CuKα.
Neutral-atom scattering factors, no anomalous dispersion.

Peak list (8 most intense, 2θ = 5–70°, by angle)
- 27.7°, I = 18
- 31.7°, I = 100
- 31.9°, I = 16
- 32.3°, I = 53
- 34.2°, I = 32
- 35.3°, I = 18
- 36.1°, I = 17
- 41.4°, I = 23

Crystal structure
```
Er5CoSb2
1.0
12.099 0.000 0.000
0.000 8.726 0.000
0.000 0.000 7.809
Er Co Sb
20 4 8
direct
0.002 0.250 0.050 Er
0.066 0.539 0.324 Er
0.066 0.961 0.324 Er
0.192 0.250 0.623 Er
0.205 0.750 0.658 Er
0.295 0.250 0.158 Er
0.308 0.750 0.123 Er
0.434 0.039 0.824 Er
0.434 0.461 0.824 Er
0.498 0.750 0.550 Er
0.502 0.250 0.450 Er
0.566 0.539 0.176 Er
0.566 0.961 0.176 Er
0.692 0.250 0.877 Er
0.705 0.750 0.842 Er
0.795 0.250 0.342 Er
0.808 0.750 0.377 Er
0.934 0.039 0.676 Er
0.934 0.461 0.676 Er
0.998 0.750 0.950 Er
0.010 0.250 0.429 Co
0.490 0.750 0.929 Co
0.510 0.250 0.071 Co
0.990 0.750 0.571 Co
0.173 0.008 0.932 Sb
0.173 0.492 0.932 Sb
0.327 0.508 0.432 Sb
0.327 0.992 0.432 Sb
0.673 0.008 0.568 Sb
0.673 0.492 0.568 Sb
0.827 0.508 0.068 Sb
0.827 0.992 0.068 Sb
```

***

Diffraction record for ErCoSi. The XRD peak list is simulated, not measured: it uses a cell relaxed with PBE and CuKα.
Neutral-atom scattering factors, no anomalous dispersion.

Peak list (8 most intense, 2θ = 5–70°, by angle)
- 25.0°, I = 31
- 26.0°, I = 23
- 36.4°, I = 100
- 37.1°, I = 15
- 41.7°, I = 29
- 43.4°, I = 19
- 59.9°, I = 18
- 61.7°, I = 18

Crystal structure
```
ErCoSi
1.0
6.858 0.000 0.000
0.000 4.173 0.000
0.000 0.000 6.853
Er Co Si
4 4 4
direct
0.020 0.250 0.188 Er
0.480 0.750 0.688 Er
0.520 0.250 0.312 Er
0.980 0.750 0.812 Er
0.144 0.750 0.437 Co
0.356 0.250 0.937 Co
0.644 0.750 0.063 Co
0.856 0.250 0.563 Co
0.195 0.250 0.610 Si
0.305 0.750 0.110 Si
0.695 0.250 0.890 Si
0.805 0.750 0.390 Si
```

***

Diffraction record for ErCo5Si3. The XRD peak list is simulated, not measured: it uses a cell relaxed with PBE and CuKα.
Neutral-atom scattering factors, no anomalous dispersion.

Peak list (8 most intense, 2θ = 5–70°, by angle)
- 27.2°, I = 11
- 30.8°, I = 18
- 35.4°, I = 15
- 37.6°, I = 27
- 39.6°, I = 100
- 49.8°, I = 23
- 54.7°, I = 15
- 56.7°, I = 14

Crystal structure
```
ErCo5Si3
1.0
14.627 0.000 0.000
-7.313 12.667 0.000
0.000 0.000 3.662
Er Co Si
6 30 18
direct
0.101 0.395 0.250 Er
0.294 0.899 0.250 Er
0.395 0.294 0.750 Er
0.605 0.706 0.250 Er
0.706 0.101 0.750 Er
0.899 0.605 0.750 Er
0.028 0.129 0.250 Co
0.049 0.781 0.250 Co
0.074 0.541 0.750 Co
0.100 0.972 0.250 Co
0.129 0.100 0.750 Co
0.148 0.735 0.750 Co
0.219 0.268 0.250 Co
0.225 0.653 0.250 Co
0.265 0.414 0.750 Co
0.268 0.049 0.750 Co
0.347 0.572 0.250 Co
0.414 0.148 0.250 Co
0.428 0.775 0.250 Co
0.459 0.534 0.750 Co
0.466 0.926 0.750 Co
0.534 0.074 0.250 Co
0.541 0.466 0.250 Co
0.572 0.225 0.750 Co
0.586 0.852 0.750 Co
0.653 0.428 0.750 Co
0.732 0.951 0.250 Co
0.735 0.586 0.250 Co
0.775 0.347 0.750 Co
0.781 0.732 0.750 Co
0.852 0.265 0.250 Co
0.871 0.900 0.250 Co
0.900 0.028 0.750 Co
0.926 0.459 0.250 Co
0.951 0.219 0.750 Co
0.972 0.871 0.750 Co
0.062 0.630 0.250 Si
0.117 0.248 0.750 Si
0.131 0.883 0.750 Si
0.239 0.557 0.750 Si
0.248 0.131 0.250 Si
0.318 0.761 0.750 Si
0.370 0.432 0.250 Si
0.432 0.062 0.750 Si
0.443 0.682 0.750 Si
0.557 0.318 0.250 Si
0.568 0.938 0.250 Si
0.630 0.568 0.750 Si
0.682 0.239 0.250 Si
0.752 0.869 0.750 Si
0.761 0.443 0.250 Si
0.869 0.117 0.250 Si
0.883 0.752 0.250 Si
0.938 0.370 0.750 Si
```

***

Diffraction record for ErCo2Si2. The XRD peak list is simulated, not measured: it uses a cell relaxed with PBE and CuKα.
Neutral-atom scattering factors, no anomalous dispersion.

Peak list (8 most intense, 2θ = 5–70°, by angle)
- 24.8°, I = 55
- 36.2°, I = 58
- 37.0°, I = 17
- 37.8°, I = 100
- 47.0°, I = 38
- 52.8°, I = 19
- 60.8°, I = 26
- 67.2°, I = 18

Crystal structure
```
ErCo2Si2
1.0
-1.931 1.931 4.854
1.931 -1.931 4.854
1.931 1.931 -4.854
Er Co Si
1 2 2
direct
0.000 0.000 0.000 Er
0.250 0.750 0.500 Co
0.750 0.250 0.500 Co
0.373 0.373 0.000 Si
0.627 0.627 0.000 Si
```